(1)
The following is a calculated XRD peak list of ZrZn8N6. It was derived from a crystal structure in Alexandria, relaxed with GGA-PBE, using Cu Kα X-rays.

```
ZrZn8N6
1.0
5.6814 0.0000 0.0000
-2.8407 4.9202 0.0000
0.0000 0.0000 15.8519
Zr Zn N
2 16 12
Cartesian
0.0000 0.0000 0.0000
0.0000 0.0000 7.9260
-0.8783 1.5213 5.0949
-0.8901 1.5418 10.9985
-1.9505 3.3784 3.0725
-1.9623 3.3989 13.0209
1.7567 0.0000 5.0949
0.8783 1.5213 13.0209
1.7803 0.0000 10.9985
0.8901 1.5418 3.0725
0.0000 3.2801 7.3632
0.0000 3.2801 15.2892
2.8407 1.6401 7.3632
2.8407 1.6401 15.2892
3.9011 0.0000 3.0725
1.9505 3.3784 10.9985
3.9247 0.0000 13.0209
1.9623 3.3989 5.0949
0.0000 0.0000 2.1196
0.0000 0.0000 10.0455
-0.9381 1.6248 7.0855
-1.9026 3.2954 15.0115
1.8762 0.0000 7.0855
0.9381 1.6248 15.0115
0.0000 3.2801 3.8628
0.0000 3.2801 11.7887
2.8407 1.6401 3.8628
2.8407 1.6401 11.7887
3.8052 0.0000 15.0115
1.9026 3.2954 7.0855
```

Peak list (10 most intense, 10 to 80 degrees two-theta, by angle)
2theta	I_rel
11.2	32
22.4	30
32.0	34
33.5	100
33.9	25
35.9	85
39.0	30
42.7	50
56.1	52
56.6	19


(2)
The following is a calculated XRD peak list of CaInSn2Cl6. It was derived from a crystal structure in Alexandria, relaxed with GGA-PBE, using Cu Kα X-rays.

```
CaInSn2Cl6
1.0
7.8215 0.0000 0.0000
-3.8932 6.8323 0.0000
-3.9026 -2.2669 6.5912
Ca In Sn Cl
1 1 2 6
Cartesian
0.0000 0.0000 0.0000
-3.8928 2.2776 5.4624
0.0092 0.0091 3.8692
0.0253 4.5505 2.1452
-5.4778 4.8533 5.1917
-2.7375 5.0875 1.8845
0.9384 1.8763 1.8726
-0.8736 2.4057 5.2001
2.5125 -0.4079 5.1855
5.7296 -0.1278 1.8757
```

Peak list (10 most intense, 10 to 80 degrees two-theta, by angle)
2theta	I_rel
13.8	24
15.8	100
22.6	61
22.7	30
26.1	70
26.4	30
34.4	30
34.8	43
39.8	42
41.8	30


(3)
The following is a calculated XRD peak list of KBa3N. It was derived from a crystal structure in Alexandria, relaxed with GGA-PBE, using Cu Kα X-rays.

```
KBa3N
1.0
8.1408 0.0000 0.0000
4.0021 8.0075 0.0000
0.1156 2.8203 9.0924
K Ba N
2 6 2
Cartesian
2.6099 3.1150 4.0198
9.6485 7.7129 5.0726
3.1576 4.7646 8.4038
5.5271 6.7031 2.5375
5.6855 8.0183 7.7010
6.5729 2.8095 1.3913
6.7313 4.1247 6.5549
9.1008 6.0633 0.6886
5.5040 5.4660 8.1927
6.7544 5.3618 0.8997
```

Peak list (10 most intense, 10 to 80 degrees two-theta, by angle)
2theta	I_rel
12.3	21
21.5	21
21.8	36
23.3	59
24.4	40
24.6	100
24.8	28
24.9	40
32.0	14
41.6	16


(4)
The following is a calculated XRD peak list of TbDy6S8. It was derived from a crystal structure in Alexandria, relaxed with GGA-PBE, using Cu Kα X-rays.

```
TbDy6S8
1.0
0.0000 5.5139 5.5139
5.5139 0.0000 5.5139
5.5139 5.5139 0.0000
Tb Dy S
1 6 8
Cartesian
0.0000 0.0000 0.0000
2.7569 2.7569 0.0000
2.7569 0.0000 2.7569
5.5139 2.7569 2.7569
0.0000 2.7569 2.7569
2.7569 5.5139 2.7569
2.7569 2.7569 5.5139
2.7569 2.7569 2.7569
5.5139 5.5139 2.7770
5.5139 2.7770 5.5139
8.2507 5.5139 5.5139
2.7770 5.5139 5.5139
5.5139 8.2507 5.5139
5.5139 5.5139 8.2507
8.2708 8.2708 8.2708
```

Peak list (10 most intense, 10 to 80 degrees two-theta, by angle)
2theta	I_rel
13.9	13
26.8	9
28.0	72
32.5	100
46.6	72
55.3	36
57.9	25
68.0	11
75.1	14
77.4	32


(5)
The following is a calculated XRD peak list of EuTl2Cu. It was derived from a crystal structure in Alexandria, relaxed with GGA-PBE, using Cu Kα X-rays.

```
EuTl2Cu
1.0
3.5939 0.0000 0.0000
0.0000 3.5939 0.0000
0.0000 0.0000 7.6915
Eu Tl Cu
1 2 1
Cartesian
0.0000 0.0000 0.0000
1.7969 1.7969 2.2871
1.7969 1.7969 5.4044
0.0000 0.0000 3.8457
```

Peak list (10 most intense, 10 to 80 degrees two-theta, by angle)
2theta	I_rel
24.8	11
27.4	23
34.1	100
35.0	12
35.3	58
50.6	17
50.8	21
62.6	35
63.2	9
66.1	12


(6)
The following is a calculated XRD peak list of Ho2ZnCu7. It was derived from a crystal structure in Alexandria, relaxed with GGA-PBE, using Cu Kα X-rays.

```
Ho2ZnCu7
1.0
3.7804 0.0000 0.0000
0.0000 3.7804 0.0000
0.0000 0.0000 11.2737
Ho Zn Cu
2 1 7
Cartesian
0.0000 1.8902 2.7375
1.8902 0.0000 8.5362
0.0000 0.0000 5.6369
0.0000 0.0000 0.0000
0.0000 1.8902 7.2892
0.0000 1.8902 9.7137
1.8902 0.0000 1.5600
1.8902 0.0000 3.9845
1.8902 1.8902 0.0000
1.8902 1.8902 5.6369
```

Peak list (10 most intense, 10 to 80 degrees two-theta, by angle)
2theta	I_rel
31.7	11
33.5	16
33.6	59
37.2	100
46.9	44
48.1	42
60.0	22
60.2	10
69.5	24
70.5	13


What did the second record say?
The following is a calculated XRD peak list of CaInSn2Cl6. It was derived from a crystal structure in Alexandria, relaxed with GGA-PBE, using Cu Kα X-rays.

```
CaInSn2Cl6
1.0
7.8215 0.0000 0.0000
-3.8932 6.8323 0.0000
-3.9026 -2.2669 6.5912
Ca In Sn Cl
1 1 2 6
Cartesian
0.0000 0.0000 0.0000
-3.8928 2.2776 5.4624
0.0092 0.0091 3.8692
0.0253 4.5505 2.1452
-5.4778 4.8533 5.1917
-2.7375 5.0875 1.8845
0.9384 1.8763 1.8726
-0.8736 2.4057 5.2001
2.5125 -0.4079 5.1855
5.7296 -0.1278 1.8757
```

Peak list (10 most intense, 10 to 80 degrees two-theta, by angle)
2theta	I_rel
13.8	24
15.8	100
22.6	61
22.7	30
26.1	70
26.4	30
34.4	30
34.8	43
39.8	42
41.8	30